Record 1
For K2LiNi3F12, a structure optimized by DFT (PBE+U) gives the theoretical PXRD pattern in this record (a wavelength of 1.5418 Å).

Principal peaks in the range 15° ≤ 2θ ≤ 90°, by angle:
2θ/deg  I (rel.)
15.2  28
16.0  73
17.8  22
25.7  18
29.1  100
29.5  54
30.4  19
30.6  47
46.6  24
50.6  47
52.9  34
73.3  17

Cell: 6.935 6.935 6.935 Å, 62.67 62.67 62.67°
Fractional coordinates of all 18 atoms:
K (0.128, 0.128, 0.128)
K (0.872, 0.872, 0.872)
Li (0.500, 0.500, 0.500)
Ni (0.000, 0.500, 0.500)
Ni (0.500, 0.000, 0.500)
Ni (0.500, 0.500, 0.000)
F (0.160, 0.579, 0.579)
F (0.179, 0.179, 0.579)
F (0.179, 0.579, 0.179)
F (0.421, 0.421, 0.840)
F (0.421, 0.821, 0.821)
F (0.421, 0.840, 0.421)
F (0.579, 0.160, 0.579)
F (0.579, 0.179, 0.179)
F (0.579, 0.579, 0.160)
F (0.821, 0.421, 0.821)
F (0.821, 0.821, 0.421)
F (0.840, 0.421, 0.421)


Record 2
For KLiNiF4, a structure optimized by DFT (PBE+U) gives the theoretical PXRD pattern in this record (a wavelength of 1.5418 Å).

Principal peaks in the range 15° ≤ 2θ ≤ 90°, by angle:
2θ/deg  I (rel.)
16.9  65
25.4  100
28.8  47
31.7  29
32.7  54
33.4  41
38.1  33
38.3  40
41.3  26
42.8  79
48.5  29
64.9  23

Cell: 5.350 5.484 6.723 Å, 90.00 101.28 90.00°
Fractional coordinates of all 14 atoms:
K (0.184, 0.250, 0.088)
K (0.816, 0.750, 0.912)
Li (0.376, 0.250, 0.671)
Li (0.624, 0.750, 0.329)
Ni (0.158, 0.750, 0.440)
Ni (0.842, 0.250, 0.560)
F (0.115, 0.012, 0.690)
F (0.115, 0.488, 0.690)
F (0.292, 0.750, 0.176)
F (0.482, 0.250, 0.426)
F (0.518, 0.750, 0.574)
F (0.708, 0.250, 0.824)
F (0.885, 0.512, 0.310)
F (0.885, 0.988, 0.310)


Record 3
For KLi3Ni4F12, a structure optimized by DFT (PBE+U) gives the theoretical PXRD pattern in this record (a wavelength of 1.5418 Å).

Principal peaks in the range 15° ≤ 2θ ≤ 90°, by angle:
2θ/deg  I (rel.)
16.4  6
23.3  100
33.2  88
37.3  32
44.4  22
47.7  36
53.7  45
59.3  63
69.7  14
74.6  10
79.4  16
84.1  10

Cell: 6.610 6.610 6.610 Å, 109.47 109.47 109.47°
Fractional coordinates of all 20 atoms:
K (0.000, 0.000, 0.000)
Li (0.000, 0.500, 0.500)
Li (0.500, 0.000, 0.500)
Li (0.500, 0.500, 0.000)
Ni (0.000, 0.000, 0.500)
Ni (0.000, 0.500, 0.000)
Ni (0.500, 0.000, 0.000)
Ni (0.500, 0.500, 0.500)
F (0.130, 0.818, 0.312)
F (0.182, 0.312, 0.493)
F (0.182, 0.688, 0.870)
F (0.312, 0.130, 0.818)
F (0.312, 0.493, 0.182)
F (0.493, 0.182, 0.312)
F (0.507, 0.818, 0.688)
F (0.688, 0.507, 0.818)
F (0.688, 0.870, 0.182)
F (0.818, 0.312, 0.130)
F (0.818, 0.688, 0.507)
F (0.870, 0.182, 0.688)